Record 1
For Mn2GeB, a cell relaxed with GGA-PBE gives the theoretical X-ray diffraction stick pattern in this record (λ = 1.5418 Å (Cu Kα)).
Neutral-atom scattering factors, no anomalous dispersion.

Principal peaks in the range 10° ≤ 2θ ≤ 90°, by angle:
37.6°, I = 100.0; 40.7°, I = 49.8; 44.7°, I = 61.5; 47.9°, I = 33.3; 56.6°, I = 8.0; 58.9°, I = 10.2; 62.0°, I = 25.5; 79.2°, I = 17.0; 84.7°, I = 13.9; 86.1°, I = 8.7

Structure:
```
data_Mn2GeB
_chemical_formula_sum 'Mn8 Ge4 B4'
_space_group_name_H-M_alt 'I -4 2 d'
_space_group_IT_number 122
_space_group_name_Hall 'I -4 2bw'
_cell_length_a 6.275
_cell_length_b 6.275
_cell_length_c 4.557
_cell_angle_alpha 90.00
_cell_angle_beta 90.00
_cell_angle_gamma 90.00
loop_
_atom_site_label
_atom_site_fract_x
_atom_site_fract_y
_atom_site_fract_z
_atom_site_occupancy
Mn1 0.168 0.250 0.125 1
Ge1 0.000 0.000 0.500 1
B1 0.000 0.000 0.000 1
```

Record 2
For Al4ZnIr, a cell relaxed with GGA-PBE gives the theoretical X-ray diffraction stick pattern in this record (λ = 1.5418 Å (Cu Kα)).
Neutral-atom scattering factors, no anomalous dispersion.

Principal peaks in the range 10° ≤ 2θ ≤ 90°, by angle:
17.8°, I = 55.6; 24.2°, I = 98.7; 25.9°, I = 19.6; 26.5°, I = 20.4; 29.6°, I = 94.7; 41.1°, I = 31.2; 43.2°, I = 100.0; 45.4°, I = 40.2; 51.5°, I = 40.4; 73.4°, I = 18.9

Structure:
```
data_Al4ZnIr
_chemical_formula_sum 'Al32 Zn8 Ir8'
_space_group_name_H-M_alt 'F d d d'
_space_group_IT_number 70
_cell_length_a 6.753
_cell_length_b 8.778
_cell_length_c 13.473
_cell_angle_alpha 90.00
_cell_angle_beta 90.00
_cell_angle_gamma 90.00
loop_
_space_group_symop_operation_xyz
'x,y,z'
'-x,-y,-z'
'-x+1/4,-y+1/4,z'
'x+1/4,y+1/4,-z'
'x,-y+1/4,-z+1/4'
'-x,y+1/4,z+1/4'
'-x+1/4,y,-z+1/4'
'x+1/4,-y,z+1/4'
'x,y+1/2,z+1/2'
'-x,-y+1/2,-z+1/2'
'-x+1/4,-y+3/4,z+1/2'
'x+1/4,y+3/4,-z+1/2'
'x,-y+3/4,-z+3/4'
'-x,y+3/4,z+3/4'
'-x+1/4,y+1/2,-z+3/4'
'x+1/4,-y+1/2,z+3/4'
'x+1/2,y,z+1/2'
'-x+1/2,-y,-z+1/2'
'-x+3/4,-y+1/4,z+1/2'
'x+3/4,y+1/4,-z+1/2'
'x+1/2,-y+1/4,-z+3/4'
'-x+1/2,y+1/4,z+3/4'
'-x+3/4,y,-z+3/4'
'x+3/4,-y,z+3/4'
'x+1/2,y+1/2,z'
'-x+1/2,-y+1/2,-z'
'-x+3/4,-y+3/4,z'
'x+3/4,y+3/4,-z'
'x+1/2,-y+3/4,-z+1/4'
'-x+1/2,y+3/4,z+1/4'
'-x+3/4,y+1/2,-z+1/4'
'x+3/4,-y+1/2,z+1/4'
loop_
_atom_site_label
_atom_site_fract_x
_atom_site_fract_y
_atom_site_fract_z
_atom_site_occupancy
Al1 0.120 0.370 0.228 1
Zn1 0.125 0.125 0.625 1
Ir1 0.125 0.125 0.125 1
```

Record 3
For Cr4FeCuS8, a cell relaxed with GGA-PBE gives the theoretical X-ray diffraction stick pattern in this record (λ = 1.5418 Å (Cu Kα)).
Neutral-atom scattering factors, no anomalous dispersion.

Principal peaks in the range 10° ≤ 2θ ≤ 90°, by angle:
25.4°, I = 35.5; 29.9°, I = 100.0; 36.3°, I = 46.7; 44.8°, I = 13.6; 47.7°, I = 45.1; 52.2°, I = 88.5; 61.3°, I = 11.0; 73.4°, I = 16.3; 77.0°, I = 12.5; 84.7°, I = 11.1

Structure:
```
data_Cr4FeCuS8
_chemical_formula_sum 'Cr16 Fe4 Cu4 S32'
_space_group_name_H-M_alt 'F -4 3 m'
_space_group_IT_number 216
_space_group_name_Hall 'F -4 2 3'
_cell_length_a 9.912
_cell_length_b 9.912
_cell_length_c 9.912
_cell_angle_alpha 90.00
_cell_angle_beta 90.00
_cell_angle_gamma 90.00
loop_
_atom_site_label
_atom_site_fract_x
_atom_site_fract_y
_atom_site_fract_z
_atom_site_occupancy
Cr1 0.123 0.123 0.377 1
Fe1 0.000 0.000 0.000 1
Cu1 0.250 0.250 0.750 1
S1 0.117 0.117 0.617 1
S2 0.133 0.133 0.133 1
```

Record 4
For DyH5, a cell relaxed with GGA-PBE gives the theoretical X-ray diffraction stick pattern in this record (λ = 1.5418 Å (Cu Kα)).
Neutral-atom scattering factors, no anomalous dispersion.

Principal peaks in the range 10° ≤ 2θ ≤ 90°, by angle:
24.4°, I = 74.9; 26.5°, I = 63.0; 29.0°, I = 100.0; 36.3°, I = 55.8; 39.7°, I = 88.6; 45.9°, I = 29.2; 53.8°, I = 38.6; 57.5°, I = 14.9; 63.0°, I = 22.7; 66.9°, I = 19.1

Structure:
```
data_DyH5
_chemical_formula_sum 'Dy2 H10'
_space_group_name_H-M_alt 'C m m m'
_space_group_IT_number 65
_space_group_name_Hall '-C 2 2'
_cell_length_a 3.394
_cell_length_b 7.297
_cell_length_c 3.362
_cell_angle_alpha 90.00
_cell_angle_beta 90.00
_cell_angle_gamma 90.00
loop_
_atom_site_label
_atom_site_fract_x
_atom_site_fract_y
_atom_site_fract_z
_atom_site_occupancy
Dy1 0.000 0.000 0.000 1
H1 0.000 0.212 0.500 1
H2 0.000 0.301 0.000 1
H3 0.000 0.500 0.500 1
```

Record 5
For HfAg3, a cell relaxed with GGA-PBE gives the theoretical X-ray diffraction stick pattern in this record (λ = 1.5418 Å (Cu Kα)).
Neutral-atom scattering factors, no anomalous dispersion.

Principal peaks in the range 10° ≤ 2θ ≤ 90°, by angle:
23.5°, I = 4.7; 37.2°, I = 100.0; 41.8°, I = 35.6; 45.7°, I = 13.7; 48.5°, I = 1.6; 60.7°, I = 11.5; 63.7°, I = 19.7; 73.3°, I = 25.9; 78.9°, I = 10.7; 79.2°, I = 10.5

Structure:
```
data_HfAg3
_chemical_formula_sum 'Hf2 Ag6'
_space_group_name_H-M_alt 'I 4/m m m'
_space_group_IT_number 139
_space_group_name_Hall '-I 4 2'
_cell_length_a 4.317
_cell_length_b 4.317
_cell_length_c 7.936
_cell_angle_alpha 90.00
_cell_angle_beta 90.00
_cell_angle_gamma 90.00
loop_
_atom_site_label
_atom_site_fract_x
_atom_site_fract_y
_atom_site_fract_z
_atom_site_occupancy
Hf1 0.000 0.000 0.000 1
Ag1 0.000 0.000 0.500 1
Ag2 0.000 0.500 0.250 1
```

Record 6
For PbCl3, a cell relaxed with GGA-PBE gives the theoretical X-ray diffraction stick pattern in this record (λ = 1.5418 Å (Cu Kα)).
Neutral-atom scattering factors, no anomalous dispersion.

Principal peaks in the range 10° ≤ 2θ ≤ 90°, by angle:
19.1°, I = 27.9; 25.0°, I = 57.3; 26.8°, I = 49.6; 31.6°, I = 100.0; 38.5°, I = 36.5; 44.0°, I = 26.5; 45.1°, I = 20.8; 46.7°, I = 27.8; 55.2°, I = 20.1; 73.2°, I = 17.6

Structure:
```
data_PbCl3
_chemical_formula_sum 'Pb1 Cl3'
_space_group_name_H-M_alt 'P -6 m 2'
_space_group_IT_number 187
_space_group_name_Hall 'P -6 2'
_cell_length_a 4.1155
_cell_length_b 4.1155
_cell_length_c 9.2853
_cell_angle_alpha 90.00
_cell_angle_beta 90.00
_cell_angle_gamma 120.00
loop_
_atom_site_label
_atom_site_fract_x
_atom_site_fract_y
_atom_site_fract_z
_atom_site_occupancy
Pb1 0.0000 0.0000 0.0000 1
Cl1 0.0000 0.0000 0.5000 1
Cl2 0.3333 0.6667 0.1845 1
```

Record 7
For Ba8NaRh2, a cell relaxed with GGA-PBE gives the theoretical X-ray diffraction stick pattern in this record (λ = 1.5418 Å (Cu Kα)).
Neutral-atom scattering factors, no anomalous dispersion.

Principal peaks in the range 10° ≤ 2θ ≤ 90°, by angle:
24.3°, I = 62.6; 25.4°, I = 83.7; 26.6°, I = 97.6; 27.2°, I = 37.0; 27.5°, I = 39.1; 28.0°, I = 100.0; 30.0°, I = 53.8; 30.2°, I = 44.5; 32.1°, I = 34.1; 38.9°, I = 35.9

Structure:
```
data_Ba8NaRh2
_chemical_formula_sum 'Ba16 Na2 Rh4'
_space_group_name_H-M_alt 'C 1 2/m 1'
_space_group_IT_number 12
_space_group_name_Hall '-C 2y'
_cell_length_a 18.314
_cell_length_b 7.940
_cell_length_c 7.571
_cell_angle_alpha 90.00
_cell_angle_beta 99.02
_cell_angle_gamma 90.00
loop_
_atom_site_label
_atom_site_fract_x
_atom_site_fract_y
_atom_site_fract_z
_atom_site_occupancy
Ba1 0.077 0.000 0.319 1
Ba2 0.144 0.253 0.890 1
Ba3 0.205 0.500 0.412 1
Na1 0.000 0.500 0.500 1
Rh1 0.225 0.000 0.191 1
```

Record 8
For Na2ZnIn7, a cell relaxed with GGA-PBE gives the theoretical X-ray diffraction stick pattern in this record (λ = 1.5418 Å (Cu Kα)).
Neutral-atom scattering factors, no anomalous dispersion.

Principal peaks in the range 10° ≤ 2θ ≤ 90°, by angle:
16.1°, I = 90.2; 28.0°, I = 69.9; 32.5°, I = 100.0; 36.4°, I = 45.3; 46.6°, I = 69.9; 49.6°, I = 22.8; 55.2°, I = 28.0; 57.9°, I = 23.2; 77.4°, I = 27.8; 86.4°, I = 20.7

Structure:
```
data_Na2ZnIn7
_chemical_formula_sum 'Na8 Zn4 In28'
_space_group_name_H-M_alt 'F m -3 m'
_space_group_IT_number 225
_space_group_name_Hall '-F 4 2 3'
_cell_length_a 11.030
_cell_length_b 11.030
_cell_length_c 11.030
_cell_angle_alpha 90.00
_cell_angle_beta 90.00
_cell_angle_gamma 90.00
loop_
_atom_site_label
_atom_site_fract_x
_atom_site_fract_y
_atom_site_fract_z
_atom_site_occupancy
Na1 0.250 0.250 0.250 1
Zn1 0.000 0.000 0.000 1
In1 0.000 0.000 0.239 1
In2 0.000 0.000 0.500 1
```

Record 9
For K2MnPdBr6, a cell relaxed with GGA-PBE gives the theoretical X-ray diffraction stick pattern in this record (λ = 1.5418 Å (Cu Kα)).
Neutral-atom scattering factors, no anomalous dispersion.

Principal peaks in the range 10° ≤ 2θ ≤ 90°, by angle:
16.8°, I = 64.6; 29.3°, I = 61.3; 34.0°, I = 100.0; 38.1°, I = 32.7; 48.8°, I = 68.9; 51.9°, I = 10.0; 58.0°, I = 16.4; 60.8°, I = 23.2; 81.4°, I = 9.9; 81.6°, I = 19.8

Structure:
```
data_K2MnPdBr6
_chemical_formula_sum 'K4 Mn2 Pd2 Br12'
_space_group_name_H-M_alt 'I m m m'
_space_group_IT_number 71
_space_group_name_Hall '-I 2 2'
_cell_length_a 7.460
_cell_length_b 7.460
_cell_length_c 10.578
_cell_angle_alpha 90.00
_cell_angle_beta 90.00
_cell_angle_gamma 90.00
loop_
_atom_site_label
_atom_site_fract_x
_atom_site_fract_y
_atom_site_fract_z
_atom_site_occupancy
K1 0.000 0.000 0.249 1
Mn1 0.000 0.500 0.500 1
Pd1 0.000 0.500 0.000 1
Br1 0.000 0.500 0.255 1
Br2 0.247 0.253 0.500 1
```

Record 10
For ScIn4Br6, a cell relaxed with GGA-PBE gives the theoretical X-ray diffraction stick pattern in this record (λ = 1.5418 Å (Cu Kα)).
Neutral-atom scattering factors, no anomalous dispersion.

Principal peaks in the range 10° ≤ 2θ ≤ 90°, by angle:
13.5°, I = 9.8; 17.3°, I = 8.9; 29.2°, I = 100.0; 29.6°, I = 8.4; 33.2°, I = 34.4; 34.9°, I = 24.1; 37.7°, I = 14.1; 47.4°, I = 11.0; 49.0°, I = 21.4; 59.1°, I = 12.9

Structure:
```
data_ScIn4Br6
_chemical_formula_sum 'Sc2 In8 Br12'
_space_group_name_H-M_alt 'P 4/m n c'
_space_group_IT_number 128
_space_group_name_Hall '-P 4 2n'
_cell_length_a 8.531
_cell_length_b 8.531
_cell_length_c 10.273
_cell_angle_alpha 90.00
_cell_angle_beta 90.00
_cell_angle_gamma 90.00
loop_
_atom_site_label
_atom_site_fract_x
_atom_site_fract_y
_atom_site_fract_z
_atom_site_occupancy
Sc1 0.000 0.000 0.000 1
In1 0.146 0.354 0.250 1
Br1 0.000 0.000 0.265 1
Br2 0.149 0.720 0.000 1
```

Record 11
For HgTe3Rh2, a cell relaxed with GGA-PBE gives the theoretical X-ray diffraction stick pattern in this record (λ = 1.5418 Å (Cu Kα)).
Neutral-atom scattering factors, no anomalous dispersion.

Principal peaks in the range 10° ≤ 2θ ≤ 90°, by angle:
17.2°, I = 13.3; 25.6°, I = 17.1; 27.5°, I = 37.8; 34.2°, I = 100.0; 44.0°, I = 52.3; 54.1°, I = 23.0; 56.9°, I = 23.1; 72.1°, I = 9.6; 74.6°, I = 20.6; 88.5°, I = 11.6

Structure:
```
data_HgTe3Rh2
_chemical_formula_sum 'Hg6 Te18 Rh12'
_space_group_name_H-M_alt 'R -3 m'
_space_group_IT_number 166
_space_group_name_Hall '-R 3 2"'
_cell_length_a 8.2379
_cell_length_b 8.2379
_cell_length_c 15.4303
_cell_angle_alpha 90.00
_cell_angle_beta 90.00
_cell_angle_gamma 120.00
loop_
_atom_site_label
_atom_site_fract_x
_atom_site_fract_y
_atom_site_fract_z
_atom_site_occupancy
Hg1 0.0000 0.0000 0.2347 1
Te1 0.0028 0.5014 0.2567 1
Rh1 0.0000 0.0000 0.0000 1
Rh2 0.0000 0.5000 0.0000 1
```

Record 12
For AlSbS2, a cell relaxed with GGA-PBE gives the theoretical X-ray diffraction stick pattern in this record (λ = 1.5418 Å (Cu Kα)).
Neutral-atom scattering factors, no anomalous dispersion.

Principal peaks in the range 10° ≤ 2θ ≤ 90°, by angle:
11.0°, I = 70.3; 22.0°, I = 72.3; 29.5°, I = 54.6; 29.7°, I = 85.5; 30.1°, I = 59.7; 30.4°, I = 100.0; 33.3°, I = 47.4; 42.3°, I = 64.9; 48.0°, I = 65.5; 51.9°, I = 39.4

Structure:
```
data_AlSbS2
_chemical_formula_sum 'Al4 Sb4 S8'
_space_group_name_H-M_alt 'C 1 2/c 1'
_space_group_IT_number 15
_space_group_name_Hall '-C 2yc'
_cell_length_a 16.301
_cell_length_b 3.486
_cell_length_c 6.118
_cell_angle_alpha 90.00
_cell_angle_beta 97.56
_cell_angle_gamma 90.00
loop_
_atom_site_label
_atom_site_fract_x
_atom_site_fract_y
_atom_site_fract_z
_atom_site_occupancy
Al1 0.250 0.250 0.000 1
Sb1 0.000 0.174 0.250 1
S1 0.169 0.240 0.304 1
```